[1]
For Sm4GaSe2, a cell relaxed with GGA-PBE gives the theoretical PXRD pattern in this record (Cu Kα (weighted mean of Kα1 and Kα2)).
Kinematic intensities with the Lorentz-polarization factor, no thermal factor.

Top 8 peaks for 10° ≤ 2θ ≤ 90°, low angle first:
Position (°2θ)	intensity
27.07	95.0
27.29	32.2
30.39	56.6
30.78	100.0
36.12	59.0
38.66	41.1
45.99	38.2
50.43	35.8

Atomic structure:
Lattice parameters (Å, degrees): 8.0266 8.0266 8.0266 109.06 109.06 110.30
Fractional coordinates of all 14 atoms:
1 Sm 0.1903 0.2499 0.5596
2 Sm 0.1903 0.6307 0.9404
3 Sm 0.2499 0.1903 0.0596
4 Sm 0.3693 0.8097 0.5596
5 Sm 0.6307 0.1903 0.4404
6 Sm 0.7501 0.8097 0.9404
7 Sm 0.8097 0.3693 0.0596
8 Sm 0.8097 0.7501 0.4404
9 Ga 0.1250 0.8750 0.2500
10 Ga 0.8750 0.1250 0.7500
11 Se 0.0000 0.5000 0.5000
12 Se 0.5000 0.0000 0.0000
13 Se 0.5000 0.5000 0.0000
14 Se 0.5000 0.5000 0.5000


[2]
For SmThGaSe, a cell relaxed with GGA-PBE gives the theoretical PXRD pattern in this record (Cu Kα (weighted mean of Kα1 and Kα2)).
Kinematic intensities with the Lorentz-polarization factor, no thermal factor.

Top 8 peaks for 10° ≤ 2θ ≤ 90°, low angle first:
Position (°2θ)	intensity
25.70	43.2
29.72	88.1
29.84	43.6
42.59	100.0
52.82	35.6
70.02	30.7
70.23	15.2
77.90	22.9

Atomic structure:
Lattice parameters (Å, degrees): 4.2509 4.2509 5.9887 90.00 90.00 90.00
Fractional coordinates of all 4 atoms:
1 Sm 0.0000 0.0000 0.0000
2 Th 0.5000 0.5000 0.5000
3 Ga 0.0000 0.0000 0.5000
4 Se 0.5000 0.5000 0.0000


[3]
For Ga4SnSe7, a cell relaxed with GGA-PBE gives the theoretical PXRD pattern in this record (Cu Kα (weighted mean of Kα1 and Kα2)).
Kinematic intensities with the Lorentz-polarization factor, no thermal factor.

Top 8 peaks for 10° ≤ 2θ ≤ 90°, low angle first:
Position (°2θ)	intensity
14.26	33.1
26.32	100.0
27.93	76.3
29.87	59.7
38.76	46.4
46.46	60.1
50.64	59.8
55.08	44.2

Atomic structure:
Lattice parameters (Å, degrees): 15.6416 6.7673 6.3887 90.00 90.00 90.00
Fractional coordinates of all 24 atoms:
1 Ga 0.1245 0.1596 0.0000
2 Ga 0.2464 0.6787 0.9930
3 Ga 0.2536 0.3213 0.4930
4 Ga 0.3755 0.8404 0.5000
5 Ga 0.6245 0.8404 0.5000
6 Ga 0.7464 0.3213 0.4930
7 Ga 0.7536 0.6787 0.9930
8 Ga 0.8755 0.1596 0.0000
9 Sn 0.0000 0.4612 0.4596
10 Sn 0.5000 0.5388 0.9596
11 Se 0.0000 0.3625 0.9013
12 Se 0.1179 0.8284 0.8736
13 Se 0.1191 0.1616 0.3890
14 Se 0.2423 0.6722 0.3846
15 Se 0.2577 0.3278 0.8846
16 Se 0.3809 0.8384 0.8890
17 Se 0.3821 0.1716 0.3736
18 Se 0.5000 0.6375 0.4013
19 Se 0.6179 0.1716 0.3736
20 Se 0.6191 0.8384 0.8890
21 Se 0.7423 0.3278 0.8846
22 Se 0.7577 0.6722 0.3846
23 Se 0.8809 0.1616 0.3890
24 Se 0.8821 0.8284 0.8736


[4]
For Ga2Sn2Se, a cell relaxed with GGA-PBE gives the theoretical PXRD pattern in this record (Cu Kα (weighted mean of Kα1 and Kα2)).
Kinematic intensities with the Lorentz-polarization factor, no thermal factor.

Top 8 peaks for 10° ≤ 2θ ≤ 90°, low angle first:
Position (°2θ)	intensity
32.13	23.3
32.60	70.5
34.59	100.0
36.04	35.4
47.47	18.2
47.58	19.3
53.59	21.2
69.50	18.1

Atomic structure:
Lattice parameters (Å, degrees): 7.8796 7.8796 3.8309 90.00 90.00 90.00
Fractional coordinates of all 10 atoms:
1 Ga 0.1191 0.3809 0.0000
2 Ga 0.3809 0.8809 0.0000
3 Ga 0.6191 0.1191 0.0000
4 Ga 0.8809 0.6191 0.0000
5 Sn 0.1929 0.6929 0.5000
6 Sn 0.3071 0.1929 0.5000
7 Sn 0.6929 0.8071 0.5000
8 Sn 0.8071 0.3071 0.5000
9 Se 0.0000 0.0000 0.0000
10 Se 0.5000 0.5000 0.0000


[5]
For TlGaSnSe4, a cell relaxed with GGA-PBE gives the theoretical PXRD pattern in this record (Cu Kα (weighted mean of Kα1 and Kα2)).
Kinematic intensities with the Lorentz-polarization factor, no thermal factor.

Top 8 peaks for 10° ≤ 2θ ≤ 90°, low angle first:
Position (°2θ)	intensity
15.15	51.9
17.80	50.5
22.51	79.2
27.11	54.9
31.04	42.1
31.75	50.8
32.96	100.0
46.63	42.0

Atomic structure:
Lattice parameters (Å, degrees): 6.5694 7.9015 8.8982 90.00 102.30 90.00
Fractional coordinates of all 14 atoms:
1 Tl 0.1883 0.2500 0.0631
2 Tl 0.8117 0.7500 0.9369
3 Ga 0.1999 0.7500 0.3120
4 Ga 0.8001 0.2500 0.6880
5 Sn 0.3058 0.2500 0.6811
6 Sn 0.6942 0.7500 0.3189
7 Se 0.0483 0.0138 0.7205
8 Se 0.0483 0.4862 0.7205
9 Se 0.3766 0.7500 0.0928
10 Se 0.4937 0.7500 0.5347
11 Se 0.5063 0.2500 0.4653
12 Se 0.6234 0.2500 0.9072
13 Se 0.9517 0.5138 0.2795
14 Se 0.9517 0.9862 0.2795


[6]
For SrGa4Se7, a cell relaxed with GGA-PBE gives the theoretical PXRD pattern in this record (Cu Kα (weighted mean of Kα1 and Kα2)).
Kinematic intensities with the Lorentz-polarization factor, no thermal factor.

Top 8 peaks for 10° ≤ 2θ ≤ 90°, low angle first:
Position (°2θ)	intensity
14.84	41.5
26.29	72.4
26.81	53.1
27.66	71.7
29.78	100.0
46.08	34.3
47.04	52.1
50.26	60.4

Atomic structure:
Lattice parameters (Å, degrees): 15.7575 6.6504 6.4491 90.00 90.00 90.00
Fractional coordinates of all 24 atoms:
1 Sr 0.0000 0.1017 0.0000
2 Sr 0.5000 0.8983 0.5000
3 Ga 0.1217 0.6581 0.7407
4 Ga 0.2500 0.1711 0.7257
5 Ga 0.2500 0.8289 0.2257
6 Ga 0.3783 0.3419 0.2407
7 Ga 0.6217 0.3419 0.2407
8 Ga 0.7500 0.1711 0.7257
9 Ga 0.7500 0.8289 0.2257
10 Ga 0.8783 0.6581 0.7407
11 Se 0.0000 0.8364 0.5972
12 Se 0.1132 0.7088 0.1142
13 Se 0.1142 0.3090 0.6329
14 Se 0.2447 0.1863 0.1145
15 Se 0.2553 0.8137 0.6145
16 Se 0.3858 0.6910 0.1329
17 Se 0.3868 0.2912 0.6142
18 Se 0.5000 0.1636 0.0972
19 Se 0.6132 0.2912 0.6142
20 Se 0.6142 0.6910 0.1329
21 Se 0.7447 0.8137 0.6145
22 Se 0.7553 0.1863 0.1145
23 Se 0.8858 0.3090 0.6329
24 Se 0.8868 0.7088 0.1142


[7]
For Ta4GaTe4Se4, a cell relaxed with GGA-PBE gives the theoretical PXRD pattern in this record (Cu Kα (weighted mean of Kα1 and Kα2)).
Kinematic intensities with the Lorentz-polarization factor, no thermal factor.

Top 8 peaks for 10° ≤ 2θ ≤ 90°, low angle first:
Position (°2θ)	intensity
13.92	81.4
26.84	37.6
32.51	100.0
35.52	34.1
40.10	48.9
42.64	53.6
46.64	72.5
72.85	29.8

Atomic structure:
Lattice parameters (Å, degrees): 7.7899 7.7899 7.7899 60.00 60.00 60.00
Fractional coordinates of all 13 atoms:
1 Ta 0.4024 0.4024 0.4024
2 Ta 0.4024 0.4024 0.7927
3 Ta 0.4024 0.7927 0.4024
4 Ta 0.7927 0.4024 0.4024
5 Ga 0.0000 0.0000 0.0000
6 Te 0.1370 0.1370 0.1370
7 Te 0.1370 0.1370 0.5890
8 Te 0.1370 0.5890 0.1370
9 Te 0.5890 0.1370 0.1370
10 Se 0.1088 0.6304 0.6304
11 Se 0.6304 0.1088 0.6304
12 Se 0.6304 0.6304 0.1088
13 Se 0.6304 0.6304 0.6304


[8]
For Tb5GaSe4, a cell relaxed with GGA-PBE gives the theoretical PXRD pattern in this record (Cu Kα (weighted mean of Kα1 and Kα2)).
Kinematic intensities with the Lorentz-polarization factor, no thermal factor.

Top 8 peaks for 10° ≤ 2θ ≤ 90°, low angle first:
Position (°2θ)	intensity
26.47	31.9
30.60	100.0
30.76	49.5
43.83	37.0
43.95	73.9
54.50	38.8
72.37	32.8
80.63	24.6

Atomic structure:
Lattice parameters (Å, degrees): 7.1495 7.1495 7.1495 99.51 99.51 132.03
Fractional coordinates of all 10 atoms:
1 Tb 0.0000 0.0000 0.0000
2 Tb 0.2062 0.4027 0.6089
3 Tb 0.4027 0.7938 0.1965
4 Tb 0.5973 0.2062 0.8035
5 Tb 0.7938 0.5973 0.3911
6 Ga 0.5000 0.5000 0.0000
7 Se 0.0979 0.6983 0.7962
8 Se 0.3017 0.0979 0.3996
9 Se 0.6983 0.9021 0.6004
10 Se 0.9021 0.3017 0.2038


[9]
For Tb5GaSe5, a cell relaxed with GGA-PBE gives the theoretical PXRD pattern in this record (Cu Kα (weighted mean of Kα1 and Kα2)).
Kinematic intensities with the Lorentz-polarization factor, no thermal factor.

Top 8 peaks for 10° ≤ 2θ ≤ 90°, low angle first:
Position (°2θ)	intensity
26.51	17.6
30.65	100.0
30.80	49.7
43.79	18.4
44.01	92.3
54.49	19.6
54.68	19.5
80.93	18.5

Atomic structure:
Lattice parameters (Å, degrees): 7.1537 7.1537 8.2296 106.81 106.81 47.88
Fractional coordinates of all 11 atoms:
1 Tb 0.0000 0.0000 0.0000
2 Tb 0.3360 0.3360 0.6667
3 Tb 0.3396 0.3396 0.1718
4 Tb 0.6604 0.6604 0.8282
5 Tb 0.6640 0.6640 0.3333
6 Ga 0.5000 0.5000 0.0000
7 Se 0.1700 0.1700 0.8371
8 Se 0.1717 0.1717 0.3338
9 Se 0.5000 0.5000 0.5000
10 Se 0.8283 0.8283 0.6662
11 Se 0.8300 0.8300 0.1629


[10]
For Tb7GaSe5, a cell relaxed with GGA-PBE gives the theoretical PXRD pattern in this record (Cu Kα (weighted mean of Kα1 and Kα2)).
Kinematic intensities with the Lorentz-polarization factor, no thermal factor.

Top 8 peaks for 10° ≤ 2θ ≤ 90°, low angle first:
Position (°2θ)	intensity
28.94	78.5
30.01	33.1
30.70	100.0
31.81	60.3
32.34	40.7
40.77	36.8
44.52	57.4
44.93	36.9

Atomic structure:
Lattice parameters (Å, degrees): 4.0350 7.0242 24.2973 90.01 90.00 106.66
Fractional coordinates of all 26 atoms:
1 Tb 0.0282 0.0567 0.2500
2 Tb 0.1386 0.2773 0.5366
3 Tb 0.1391 0.2784 0.9635
4 Tb 0.3080 0.6162 0.1801
5 Tb 0.3083 0.6168 0.3199
6 Tb 0.4080 0.8155 0.6164
7 Tb 0.4083 0.8161 0.8834
8 Tb 0.5917 0.1839 0.1166
9 Tb 0.5920 0.1845 0.3836
10 Tb 0.6917 0.3832 0.6801
11 Tb 0.6920 0.3838 0.8199
12 Tb 0.8609 0.7216 0.0365
13 Tb 0.8614 0.7227 0.4634
14 Tb 0.9718 0.9433 0.7500
15 Ga 0.3095 0.6201 0.7501
16 Ga 0.6905 0.3799 0.2499
17 Se 0.0525 0.1049 0.8574
18 Se 0.0533 0.1065 0.6426
19 Se 0.2233 0.4462 0.4278
20 Se 0.2240 0.4476 0.0722
21 Se 0.5000 0.0000 0.0000
22 Se 0.5000 0.0000 0.5000
23 Se 0.7760 0.5524 0.9278
24 Se 0.7767 0.5538 0.5722
25 Se 0.9467 0.8935 0.3574
26 Se 0.9475 0.8951 0.1426


Copy entry 9 word for word.
For Tb5GaSe5, a cell relaxed with GGA-PBE gives the theoretical PXRD pattern in this record (Cu Kα (weighted mean of Kα1 and Kα2)).
Kinematic intensities with the Lorentz-polarization factor, no thermal factor.

Top 8 peaks for 10° ≤ 2θ ≤ 90°, low angle first:
Position (°2θ)	intensity
26.51	17.6
30.65	100.0
30.80	49.7
43.79	18.4
44.01	92.3
54.49	19.6
54.68	19.5
80.93	18.5

Atomic structure:
Lattice parameters (Å, degrees): 7.1537 7.1537 8.2296 106.81 106.81 47.88
Fractional coordinates of all 11 atoms:
1 Tb 0.0000 0.0000 0.0000
2 Tb 0.3360 0.3360 0.6667
3 Tb 0.3396 0.3396 0.1718
4 Tb 0.6604 0.6604 0.8282
5 Tb 0.6640 0.6640 0.3333
6 Ga 0.5000 0.5000 0.0000
7 Se 0.1700 0.1700 0.8371
8 Se 0.1717 0.1717 0.3338
9 Se 0.5000 0.5000 0.5000
10 Se 0.8283 0.8283 0.6662
11 Se 0.8300 0.8300 0.1629